Starting from DFT lattice parameters and positions (PBE), the X-ray diffraction stick pattern of BeRu3 was simulated for λ = 1.5418 Å (Cu Kα).
Peak positions follow from Bragg's law for the DFT cell and can differ from measured ones.

Largest 10 diffraction maxima, in order of rising 2θ, 15 to 90 degrees two-theta:
d 3.953, intensity 12; d 3.285, intensity 31; d 2.145, intensity 100; d 2.129, intensity 9; d 1.977, intensity 19; d 1.806, intensity 29; d 1.333, intensity 21; d 1.277, intensity 9; d 1.171, intensity 14; d 1.097, intensity 23

Crystal structure
a b c (Å): 3.612 3.612 7.907
angles (deg): 90.00 90.00 90.00
Sites, in units of the cell vectors:
Be1 0.000 0.000 0.000
Be2 0.500 0.500 0.500
Ru1 0.000 0.000 0.500
Ru2 0.000 0.500 0.250
Ru3 0.000 0.500 0.750
Ru4 0.500 0.000 0.250
Ru5 0.500 0.000 0.750
Ru6 0.500 0.500 0.000


Starting from DFT lattice parameters and positions (PBE), the X-ray diffraction stick pattern of Be3Ru was simulated for λ = 1.5418 Å (Cu Kα).
Peak positions follow from Bragg's law for the DFT cell and can differ from measured ones.

Largest 10 diffraction maxima, in order of rising 2θ, 15 to 90 degrees two-theta:
d 4.157, intensity 44; d 2.785, intensity 100; d 2.400, intensity 43; d 2.078, intensity 11; d 1.876, intensity 10; d 1.818, intensity 43; d 1.478, intensity 19; d 1.449, intensity 25; d 1.386, intensity 7; d 1.102, intensity 11

Crystal structure
a b c (Å): 4.800 4.800 3.752
angles (deg): 90.00 90.00 120.00
Sites, in units of the cell vectors:
Be1 0.161 0.321 0.250
Be2 0.161 0.839 0.250
Be3 0.321 0.161 0.750
Be4 0.679 0.839 0.250
Be5 0.839 0.161 0.750
Be6 0.839 0.679 0.750
Ru1 0.333 0.667 0.750
Ru2 0.667 0.333 0.250


Starting from DFT lattice parameters and positions (PBE), the X-ray diffraction stick pattern of Be46Ru7 was simulated for λ = 1.5418 Å (Cu Kα).
Peak positions follow from Bragg's law for the DFT cell and can differ from measured ones.

Largest 10 diffraction maxima, in order of rising 2θ, 15 to 90 degrees two-theta:
d 5.474, intensity 48; d 3.649, intensity 32; d 3.620, intensity 100; d 3.437, intensity 38; d 3.020, intensity 97; d 2.570, intensity 61; d 2.090, intensity 47; d 1.874, intensity 60; d 1.814, intensity 52; d 1.719, intensity 31

Crystal structure
a b c (Å): 4.180 4.180 32.844
angles (deg): 90.00 90.00 120.00
Sites, in units of the cell vectors:
Be1 0.000 0.000 0.000
Be2 0.000 0.000 0.082
Be3 0.000 0.000 0.332
Be4 0.000 0.000 0.416
Be5 0.000 0.000 0.666
Be6 0.000 0.000 0.748
Be7 0.007 0.504 0.041
Be8 0.007 0.504 0.707
Be9 0.008 0.504 0.375
Be10 0.325 0.162 0.811
Be11 0.325 0.162 0.937
Be12 0.327 0.163 0.479
Be13 0.327 0.164 0.603
Be14 0.333 0.166 0.268
Be15 0.333 0.167 0.146
Be16 0.333 0.667 0.175
Be17 0.333 0.667 0.240
Be18 0.333 0.667 0.508
Be19 0.333 0.667 0.573
Be20 0.333 0.667 0.843
Be21 0.333 0.667 0.905
Be22 0.496 0.504 0.041
Be23 0.496 0.504 0.375
Be24 0.496 0.504 0.707
Be25 0.496 0.992 0.375
Be26 0.496 0.993 0.041
Be27 0.496 0.993 0.707
Be28 0.667 0.333 0.093
Be29 0.667 0.333 0.207
Be30 0.667 0.333 0.322
Be31 0.667 0.333 0.426
Be32 0.667 0.333 0.655
Be33 0.667 0.333 0.760
Be34 0.667 0.333 0.989
Be35 0.833 0.167 0.146
Be36 0.833 0.667 0.146
Be37 0.834 0.166 0.268
Be38 0.834 0.667 0.268
Be39 0.836 0.164 0.603
Be40 0.836 0.673 0.603
Be41 0.837 0.163 0.479
Be42 0.837 0.673 0.479
Be43 0.838 0.162 0.811
Be44 0.838 0.162 0.937
Be45 0.838 0.675 0.811
Be46 0.838 0.675 0.937
Ru1 0.000 0.000 0.874
Ru2 0.333 0.667 0.105
Ru3 0.333 0.667 0.310
Ru4 0.333 0.667 0.440
Ru5 0.333 0.667 0.642
Ru6 0.333 0.667 0.772
Ru7 0.333 0.667 0.976


Starting from DFT lattice parameters and positions (PBE), the X-ray diffraction stick pattern of Be3Ru was simulated for λ = 1.5418 Å (Cu Kα).
Peak positions follow from Bragg's law for the DFT cell and can differ from measured ones.

Largest 10 diffraction maxima, in order of rising 2θ, 15 to 90 degrees two-theta:
d 3.754, intensity 47; d 2.928, intensity 100; d 2.248, intensity 24; d 1.967, intensity 32; d 1.929, intensity 45; d 1.590, intensity 12; d 1.464, intensity 12; d 1.441, intensity 11; d 1.397, intensity 20; d 1.236, intensity 13

Crystal structure
a b c (Å): 3.180 3.180 7.509
angles (deg): 90.00 90.00 90.00
Sites, in units of the cell vectors:
Be1 0.000 0.000 0.000
Be2 0.000 0.500 0.250
Be3 0.000 0.500 0.750
Be4 0.500 0.000 0.250
Be5 0.500 0.000 0.750
Be6 0.500 0.500 0.500
Ru1 0.000 0.000 0.500
Ru2 0.500 0.500 0.000


Starting from DFT lattice parameters and positions (PBE), the X-ray diffraction stick pattern of Be10Ru3 was simulated for λ = 1.5418 Å (Cu Kα).
Peak positions follow from Bragg's law for the DFT cell and can differ from measured ones.

Largest 10 diffraction maxima, in order of rising 2θ, 15 to 90 degrees two-theta:
d 5.830, intensity 25; d 5.460, intensity 18; d 4.037, intensity 17; d 3.423, intensity 40; d 3.225, intensity 100; d 3.199, intensity 21; d 3.118, intensity 24; d 2.730, intensity 17; d 1.944, intensity 54; d 1.820, intensity 27

Crystal structure
a b c (Å): 6.894 6.894 6.704
angles (deg): 106.95 106.95 110.04
Sites, in units of the cell vectors:
Be1 0.000 0.000 0.000
Be2 0.095 0.467 0.804
Be3 0.107 0.793 0.438
Be4 0.147 0.432 0.157
Be5 0.151 0.807 0.142
Be6 0.154 0.154 0.427
Be7 0.185 0.185 0.843
Be8 0.197 0.540 0.535
Be9 0.432 0.147 0.157
Be10 0.448 0.802 0.089
Be11 0.464 0.464 0.814
Be12 0.467 0.095 0.804
Be13 0.509 0.509 0.162
Be14 0.540 0.197 0.535
Be15 0.585 0.812 0.818
Be16 0.793 0.107 0.438
Be17 0.802 0.448 0.089
Be18 0.807 0.151 0.142
Be19 0.812 0.585 0.818
Be20 0.847 0.847 0.581
Ru1 0.177 0.825 0.810
Ru2 0.457 0.818 0.437
Ru3 0.461 0.461 0.469
Ru4 0.805 0.805 0.176
Ru5 0.818 0.457 0.437
Ru6 0.825 0.177 0.810